No. 1
Starting from a structure optimized by DFT (PBE), the X-ray powder pattern of LiCeSi2Rh was computed for Cu Kα, 1.54184 Å.
Kinematic intensities with the Lorentz-polarization factor, no thermal factor.

Crystal structure
```
LiCeSi2Rh
1.0
4.100 0.000 0.000
0.000 4.100 0.000
0.000 0.000 10.102
Li Ce Si Rh
2 2 4 2
direct
0.000 0.000 0.000
0.500 0.500 0.500
0.000 0.500 0.250
0.500 0.000 0.750
0.000 0.500 0.632
0.000 0.500 0.868
0.500 0.000 0.132
0.500 0.000 0.368
0.000 0.000 0.500
0.500 0.500 0.000
```

Top 10 peaks for 5 to 70 degrees two-theta, in order of rising 2θ:
- 2θ 23.42, I = 880
- 2θ 34.47, I = 683
- 2θ 35.55, I = 146
- 2θ 35.71, I = 1000
- 2θ 44.18, I = 394
- 2θ 50.35, I = 257
- 2θ 50.60, I = 222
- 2θ 57.21, I = 312
- 2θ 63.94, I = 153
- 2θ 69.19, I = 197



No. 2
Starting from a structure optimized by DFT (PBE), the X-ray powder pattern of Li5Ce3S8 was computed for Cu Kα, 1.54184 Å.
Kinematic intensities with the Lorentz-polarization factor, no thermal factor.

Crystal structure
```
Li5Ce3S8
1.0
3.966 2.290 6.094
-3.966 2.290 6.094
0.000 -4.579 6.094
Li Ce S
5 3 8
direct
0.000 0.000 0.000
0.000 0.500 0.500
0.500 0.000 0.500
0.500 0.500 0.000
0.500 0.500 0.500
0.000 0.000 0.500
0.000 0.500 0.000
0.500 0.000 0.000
0.246 0.751 0.751
0.249 0.249 0.754
0.249 0.754 0.249
0.254 0.254 0.254
0.746 0.746 0.746
0.751 0.246 0.751
0.751 0.751 0.246
0.754 0.249 0.249
```

Top 10 peaks for 5 to 70 degrees two-theta, in order of rising 2θ:
- 2θ 13.77, I = 284
- 2θ 14.54, I = 735
- 2θ 16.14, I = 197
- 2θ 26.40, I = 556
- 2θ 32.61, I = 1000
- 2θ 35.89, I = 307
- 2θ 45.76, I = 372
- 2θ 47.81, I = 324
- 2θ 48.26, I = 211
- 2θ 57.31, I = 186



No. 3
Starting from a structure optimized by DFT (PBE), the X-ray powder pattern of LiCe2Se2S2 was computed for Cu Kα, 1.54184 Å.
Kinematic intensities with the Lorentz-polarization factor, no thermal factor.

Crystal structure
```
LiCe2Se2S2
1.0
4.139 0.000 0.000
0.000 5.747 0.000
0.000 0.000 13.045
Li Ce Se S
2 4 4 4
direct
0.000 0.000 0.000
0.500 0.500 0.500
0.000 0.500 0.152
0.000 0.500 0.848
0.500 0.000 0.348
0.500 0.000 0.652
0.000 0.238 0.500
0.000 0.762 0.500
0.500 0.262 0.000
0.500 0.738 0.000
0.000 0.000 0.203
0.000 0.000 0.797
0.500 0.500 0.297
0.500 0.500 0.703
```

Top 10 peaks for 5 to 70 degrees two-theta, in order of rising 2θ:
- 2θ 16.86, I = 377
- 2θ 25.69, I = 280
- 2θ 26.54, I = 221
- 2θ 29.80, I = 1000
- 2θ 34.10, I = 280
- 2θ 38.48, I = 300
- 2θ 38.77, I = 511
- 2θ 41.90, I = 208
- 2θ 43.74, I = 198
- 2θ 52.23, I = 167



No. 4
Starting from a structure optimized by DFT (PBE), the X-ray powder pattern of Li4CeSm3S8 was computed for Cu Kα, 1.54184 Å.
Kinematic intensities with the Lorentz-polarization factor, no thermal factor.

Crystal structure
```
Li4CeSm3S8
1.0
4.020 2.321 6.194
-4.020 2.321 6.194
0.000 -4.641 6.194
Li Ce Sm S
4 1 3 8
direct
0.000 0.000 0.000
0.000 0.500 0.500
0.500 0.000 0.500
0.500 0.500 0.000
0.500 0.500 0.500
0.000 0.000 0.500
0.000 0.500 0.000
0.500 0.000 0.000
0.247 0.247 0.750
0.247 0.750 0.247
0.250 0.753 0.753
0.252 0.252 0.252
0.748 0.748 0.748
0.750 0.247 0.247
0.753 0.250 0.753
0.753 0.753 0.250
```

Top 10 peaks for 5 to 70 degrees two-theta, in order of rising 2θ:
- 2θ 14.30, I = 932
- 2θ 26.04, I = 727
- 2θ 27.36, I = 219
- 2θ 32.13, I = 1000
- 2θ 35.33, I = 342
- 2θ 42.84, I = 178
- 2θ 45.11, I = 376
- 2θ 47.03, I = 331
- 2θ 47.57, I = 273
- 2θ 56.46, I = 190



No. 5
Starting from a structure optimized by DFT (PBE), the X-ray powder pattern of SrLiCeS4 was computed for Cu Kα, 1.54184 Å.
Kinematic intensities with the Lorentz-polarization factor, no thermal factor.

Crystal structure
```
SrLiCeS4
1.0
2.753 -7.824 0.000
2.753 7.824 0.000
0.000 0.000 7.142
Sr Li Ce S
2 2 2 8
direct
0.110 0.890 0.750
0.890 0.110 0.250
0.232 0.768 0.250
0.768 0.232 0.750
0.384 0.616 0.750
0.616 0.384 0.250
0.000 0.500 0.000
0.000 0.500 0.500
0.079 0.921 0.250
0.447 0.553 0.250
0.500 0.000 0.000
0.500 0.000 0.500
0.553 0.447 0.750
0.921 0.079 0.750
```

Top 10 peaks for 5 to 70 degrees two-theta, in order of rising 2θ:
- 2θ 21.15, I = 1000
- 2θ 22.73, I = 350
- 2θ 24.94, I = 690
- 2θ 26.64, I = 758
- 2θ 27.46, I = 403
- 2θ 33.99, I = 926
- 2θ 35.30, I = 467
- 2θ 40.05, I = 579
- 2θ 41.41, I = 856
- 2θ 45.60, I = 503



No. 6
Starting from a structure optimized by DFT (PBE), the X-ray powder pattern of LiTbCe2S6 was computed for Cu Kα, 1.54184 Å.
Kinematic intensities with the Lorentz-polarization factor, no thermal factor.

Crystal structure
```
LiTbCe2S6
1.0
3.458 1.996 6.137
-3.458 1.996 6.137
0.000 -3.992 6.137
Li Tb Ce S
1 1 2 6
direct
0.000 0.000 0.000
0.500 0.500 0.500
0.299 0.299 0.299
0.800 0.800 0.800
0.096 0.402 0.694
0.197 0.898 0.598
0.402 0.694 0.096
0.598 0.197 0.898
0.694 0.096 0.402
0.898 0.598 0.197
```

Top 10 peaks for 5 to 70 degrees two-theta, in order of rising 2θ:
- 2θ 15.56, I = 561
- 2θ 17.67, I = 726
- 2θ 24.39, I = 973
- 2θ 25.77, I = 869
- 2θ 29.66, I = 541
- 2θ 35.78, I = 519
- 2θ 39.26, I = 1000
- 2θ 44.61, I = 501
- 2θ 45.44, I = 589
- 2θ 51.96, I = 339



No. 7
Starting from a structure optimized by DFT (PBE), the X-ray powder pattern of LiCe3Tl3S8 was computed for Cu Kα, 1.54184 Å.
Kinematic intensities with the Lorentz-polarization factor, no thermal factor.

Crystal structure
```
LiCe3Tl3S8
1.0
4.067 2.348 7.372
-4.067 2.348 7.372
0.000 -4.696 7.372
Li Ce Tl S
1 3 3 8
direct
0.000 0.000 0.000
0.000 0.500 0.500
0.500 0.000 0.500
0.500 0.500 0.000
0.000 0.000 0.500
0.000 0.500 0.000
0.500 0.000 0.000
0.235 0.235 0.721
0.235 0.721 0.235
0.265 0.265 0.265
0.279 0.765 0.765
0.721 0.235 0.235
0.735 0.735 0.735
0.765 0.279 0.765
0.765 0.765 0.279
```

Top 10 peaks for 5 to 70 degrees two-theta, in order of rising 2θ:
- 2θ 14.91, I = 374
- 2θ 20.42, I = 181
- 2θ 21.86, I = 153
- 2θ 24.15, I = 235
- 2θ 26.56, I = 484
- 2θ 30.08, I = 1000
- 2θ 41.53, I = 362
- 2θ 44.56, I = 349
- 2θ 51.32, I = 200
- 2θ 54.70, I = 205



No. 8
Starting from a structure optimized by DFT (PBE), the X-ray powder pattern of LiCeTm4S8 was computed for Cu Kα, 1.54184 Å.
Kinematic intensities with the Lorentz-polarization factor, no thermal factor.

Crystal structure
```
LiCeTm4S8
1.0
3.957 2.284 6.629
-3.957 2.284 6.629
0.000 -4.569 6.629
Li Ce Tm S
1 1 4 8
direct
0.000 0.000 0.000
0.628 0.628 0.628
0.110 0.629 0.629
0.251 0.251 0.251
0.629 0.110 0.629
0.629 0.629 0.110
0.375 0.375 0.854
0.375 0.854 0.375
0.383 0.383 0.383
0.394 0.874 0.874
0.854 0.375 0.375
0.867 0.867 0.867
0.874 0.394 0.874
0.874 0.874 0.394
```

Top 10 peaks for 5 to 70 degrees two-theta, in order of rising 2θ:
- 2θ 13.67, I = 561
- 2θ 15.70, I = 339
- 2θ 25.90, I = 481
- 2θ 26.23, I = 1000
- 2θ 26.39, I = 587
- 2θ 27.53, I = 355
- 2θ 31.71, I = 841
- 2θ 41.61, I = 353
- 2θ 45.06, I = 656
- 2θ 45.87, I = 634